The following is a computed X-ray powder pattern of Na2PmSi3Au12. It was derived from a crystal structure in Alexandria, relaxed with PBE, using λ = 1.5418 Å (Cu Kα).

Cell and atoms:
Unit cell a=9.0333 b=9.0333 c=16.5343 alpha=90.00 beta=90.00 gamma=120.00
Space group R-3m (No. 166, hexagonal axes)
Symmetry-distinct sites (fractional):
Na 0.0000 0.0000 0.0820
Pm 0.0000 0.0000 0.5000
Si 0.0000 0.5000 0.0000
Au 0.0351 0.5176 0.3189
Au 0.0482 0.5241 0.8541

Most intense lines, 10° ≤ 2θ ≤ 80°, by intensity:
| hkl | two_theta | Rel. int. |
| --- | --- | --- |
| 2 2 0 | 39.9 | 100 |
| 1 2 2 | 32.2 | 87 |
| 2 2 6 | 52.4 | 48 |
| 2 1 4 | 37.4 | 45 |
| 0 0 6 | 32.5 | 44 |
| 2 0 2 | 25.2 | 35 |
| 2 0 5 | 35.5 | 35 |
| 0 2 4 | 31.5 | 29 |



The following is a computed X-ray powder pattern of NaPr3Au4. It was derived from a crystal structure in Alexandria, relaxed with PBE, using λ = 1.5418 Å (Cu Kα).

Cell and atoms:
Unit cell a=5.2311 b=5.2311 c=25.7766 alpha=90.00 beta=90.00 gamma=120.00
Space group R-3m (No. 166, hexagonal axes)
Symmetry-distinct sites (fractional):
Na 0.0000 0.0000 0.0000
Pr 0.0000 0.0000 0.2569
Pr 0.0000 0.0000 0.5000
Au 0.0000 0.0000 0.1332
Au 0.0000 0.0000 0.3797

Most intense lines, 10° ≤ 2θ ≤ 80°, by intensity:
| hkl | two_theta | Rel. int. |
| --- | --- | --- |
| 1 1 0 | 34.3 | 100 |
| 0 1 8 | 34.1 | 91 |
| 3 0 0 | 61.3 | 53 |
| 2 0 8 | 49.2 | 33 |
| 1 0 4 | 24.0 | 17 |
| 1 0 16 | 61.0 | 13 |
| 2 2 0 | 72.2 | 12 |
| 1 1 9 | 47.1 | 11 |



The following is a computed X-ray powder pattern of Na4PtAu. It was derived from a crystal structure in Alexandria, relaxed with PBE, using λ = 1.5418 Å (Cu Kα).

Cell and atoms:
Unit cell a=7.1990 b=7.1990 c=11.3536 alpha=90.00 beta=90.00 gamma=90.00
Space group I4/mcm (No. 140)
Symmetry-distinct sites (fractional):
Na 0.1778 0.3222 0.1347
Pt 0.0000 0.0000 0.2500
Au 0.0000 0.0000 0.0000

Most intense lines, 10° ≤ 2θ ≤ 80°, by intensity:
| hkl | two_theta | Rel. int. |
| --- | --- | --- |
| 1 1 0 | 17.4 | 100 |
| 1 1 4 | 36.2 | 41 |
| 2 0 4 | 40.5 | 36 |
| 3 1 0 | 39.6 | 36 |
| 2 0 0 | 24.7 | 35 |
| 2 2 0 | 35.3 | 24 |
| 3 1 4 | 51.5 | 22 |
| 2 2 4 | 48.0 | 14 |



The following is a computed X-ray powder pattern of NaPu2Sb2Au2. It was derived from a crystal structure in Alexandria, relaxed with PBE, using λ = 1.5418 Å (Cu Kα).

Cell and atoms:
Unit cell a=4.8744 b=4.8744 c=27.2460 alpha=90.00 beta=90.00 gamma=120.00
Space group R-3m (No. 166, hexagonal axes)
Symmetry-distinct sites (fractional):
Na 0.0000 0.0000 0.0000
Pu 0.0000 0.0000 0.1427
Sb 0.0000 0.0000 0.2604
Au 0.0000 0.0000 0.4418

Most intense lines, 10° ≤ 2θ ≤ 80°, by intensity:
| hkl | two_theta | Rel. int. |
| --- | --- | --- |
| 1 0 7 | 31.3 | 100 |
| 1 1 0 | 36.9 | 96 |
| 1 0 10 | 39.4 | 54 |
| 1 1 3 | 38.2 | 38 |
| 0 2 7 | 49.1 | 29 |
| 2 1 7 | 63.0 | 28 |
| 2 1 10 | 68.1 | 22 |
| 0 2 10 | 55.0 | 21 |



The following is a computed X-ray powder pattern of NaPuTlAu. It was derived from a crystal structure in Alexandria, relaxed with PBE, using λ = 1.5418 Å (Cu Kα).

Cell and atoms:
Unit cell a=3.5338 b=3.5338 c=8.1607 alpha=90.00 beta=90.00 gamma=90.00
Space group P4mm (No. 99)
Symmetry-distinct sites (fractional):
Na 0.0000 0.0000 0.0000
Pu 0.0000 0.0000 0.5484
Tl 0.5000 0.5000 0.2714
Au 0.5000 0.5000 0.7695

Most intense lines, 10° ≤ 2θ ≤ 80°, by intensity:
| hkl | two_theta | Rel. int. |
| --- | --- | --- |
| 1 0 2 | 33.5 | 100 |
| 1 1 0 | 35.9 | 43 |
| 0 0 1 | 10.8 | 36 |
| 2 1 2 | 63.1 | 33 |
| 1 1 4 | 58.4 | 20 |
| 2 0 0 | 51.7 | 20 |
| 1 0 1 | 27.5 | 17 |
| 2 0 4 | 70.5 | 11 |



The following is a computed X-ray powder pattern of Rb2Na4Au. It was derived from a crystal structure in Alexandria, relaxed with PBE, using λ = 1.5418 Å (Cu Kα).

Cell and atoms:
Unit cell a=15.4820 b=15.4820 c=5.7119 alpha=90.00 beta=90.00 gamma=90.00
Space group I4/mcm (No. 140)
Symmetry-distinct sites (fractional):
Rb 0.1398 0.3602 0.0000
Na 0.0674 0.1603 0.5000
Au 0.0000 0.0000 0.2500

Most intense lines, 10° ≤ 2θ ≤ 80°, by intensity:
| hkl | two_theta | Rel. int. |
| --- | --- | --- |
| 3 1 0 | 18.1 | 100 |
| 2 0 0 | 11.4 | 63 |
| 4 0 2 | 39.2 | 35 |
| 2 1 1 | 20.2 | 34 |
| 2 2 0 | 16.2 | 29 |
| 4 2 0 | 25.7 | 29 |
| 3 3 2 | 40.1 | 27 |
| 5 1 0 | 29.4 | 26 |